For AlV2O4, DFT lattice parameters and positions (GGA+U) gives the calculated X-ray powder pattern in this record (a wavelength of 1.5418 Å).
No peak broadening, texture or thermal motion is included.

Atomic structure:
```
data_AlV2O4
_cell_length_a 5.896
_cell_length_b 5.896
_cell_length_c 8.589
_cell_angle_alpha 90.00
_cell_angle_beta 90.00
_cell_angle_gamma 90.00
_symmetry_space_group_name_H-M 'I 41 m d'
_symmetry_Int_Tables_number 109
_symmetry_space_group_name_Hall 'I 4bw -2'
loop_
_atom_site_label
_atom_site_fract_x
_atom_site_fract_y
_atom_site_fract_z
Al1 0.000 0.000 0.000
V1 0.000 0.240 0.620
O1 0.000 0.241 0.869
O2 0.000 0.247 0.371
```

Peak list (10 most intense, 15 to 90 degrees two-theta, sorted by position)
2θ (°)	intensity
18.3	55
29.9	13
34.8	51
35.6	100
42.1	29
43.4	52
55.7	12
57.4	22
62.1	59
63.1	28